[1]
Simulated powder diffraction line list
Compound: Li3Ti2P3O12
Radiation: Cu Kα X-rays
Structure: a cell relaxed with GGA-PBE
Lines closer than 0.1° are merged.

Cell and atoms:
Cell lengths 8.705, 8.705, 8.583 Å; angles 117.51, 117.51, 61.15 degrees
Sites, in units of the cell vectors:
Li 0.132 0.868 0.750
Li 0.185 0.443 0.708
Li 0.443 0.185 0.208
Li 0.557 0.815 0.792
Li 0.815 0.557 0.292
Li 0.868 0.132 0.250
Ti 0.142 0.647 0.359
Ti 0.353 0.858 0.141
Ti 0.647 0.142 0.859
Ti 0.858 0.353 0.641
P 0.027 0.253 0.046
P 0.253 0.027 0.546
P 0.449 0.551 0.750
P 0.551 0.449 0.250
P 0.747 0.973 0.454
P 0.973 0.747 0.954
O 0.031 0.738 0.150
O 0.034 0.438 0.198
O 0.104 0.223 0.577
O 0.116 0.795 0.943
O 0.205 0.884 0.557
O 0.223 0.104 0.077
O 0.256 0.572 0.597
O 0.262 0.969 0.350
O 0.395 0.479 0.311
O 0.428 0.744 0.903
O 0.438 0.034 0.698
O 0.479 0.395 0.811
O 0.521 0.605 0.189
O 0.562 0.966 0.302
O 0.572 0.256 0.097
O 0.605 0.521 0.689
O 0.738 0.031 0.650
O 0.744 0.428 0.403
O 0.777 0.896 0.923
O 0.795 0.116 0.443
O 0.884 0.205 0.057
O 0.896 0.777 0.423
O 0.966 0.562 0.802
O 0.969 0.262 0.850

Largest 10 diffraction maxima, most intense first, 10° ≤ 2θ ≤ 90°:
2θ 23.83, I = 100
2θ 23.37, I = 40
2θ 20.43, I = 29
2θ 28.99, I = 26
2θ 14.00, I = 25
2θ 20.72, I = 22
2θ 34.93, I = 19
2θ 28.22, I = 17
2θ 32.21, I = 17
2θ 30.78, I = 15

---

[2]
Simulated powder diffraction line list
Compound: Na2PtO6
Radiation: Cu Kα X-rays
Structure: a cell relaxed with GGA-PBE
Lines closer than 0.1° are merged.

Cell and atoms:
Cell lengths 6.038, 6.038, 3.857 Å; angles 98.47, 98.47, 116.74 degrees
Sites, in units of the cell vectors:
Na 0.156 0.844 0.000
Na 0.844 0.156 0.000
Pt 0.500 0.500 0.000
O 0.196 0.196 0.766
O 0.284 0.584 0.320
O 0.416 0.716 0.680
O 0.584 0.284 0.320
O 0.716 0.416 0.680
O 0.804 0.804 0.234

Largest 10 diffraction maxima, most intense first, 10° ≤ 2θ ≤ 90°:
2θ 16.95, I = 100
2θ 17.25, I = 46
2θ 35.95, I = 44
2θ 24.04, I = 28
2θ 25.90, I = 27
2θ 29.39, I = 25
2θ 29.74, I = 24
2θ 29.93, I = 20
2θ 41.39, I = 13
2θ 52.49, I = 13